# SrMg14NiO16
Theoretical XRD peak list, Cu Kα X-rays. Input: a PBE+U-relaxed structure.

Main lines, low angle first (15 to 90 degrees two-theta):
h k l, d [Å], intensity
0 2 0, 4.322, 11.9
0 2 1, 3.864, 8.3
1 2 0, 3.081, 10.1
1 2 1, 2.902, 9.3
1 2 2, 2.509, 33.8
2 0 0, 2.197, 53.8
0 4 0, 2.161, 100.0
2 4 0, 1.541, 59.5
0 4 4, 1.528, 28.3
2 4 4, 1.255, 26.5

Cell lengths 4.394, 8.637, 8.652 Å; angles 90.00, 90.00, 90.00 degrees
Space group Pmmm (No. 47)
Inequivalent atoms, fractional coordinates:
Sr (0.000, 0.000, 0.000)
Mg (0.000, 0.000, 0.500)
Mg (0.000, 0.256, 0.256)
Mg (0.000, 0.500, 0.500)
Mg (0.500, 0.000, 0.259)
Mg (0.500, 0.252, 0.500)
Mg (0.500, 0.260, 0.000)
Mg (0.500, 0.500, 0.250)
Ni (0.000, 0.500, 0.000)
O (0.000, 0.000, 0.271)
O (0.000, 0.254, 0.500)
O (0.000, 0.271, 0.000)
O (0.000, 0.500, 0.256)
O (0.500, 0.000, 0.000)
O (0.500, 0.000, 0.500)
O (0.500, 0.250, 0.250)
O (0.500, 0.500, 0.000)
O (0.500, 0.500, 0.500)

=====

# Mg2Ta2Ni2O9
Theoretical XRD peak list, Cu Kα X-rays. Input: a PBE+U-relaxed structure.

Main lines, low angle first (15 to 90 degrees two-theta):
h k l, d [Å], intensity
1 0 0, 4.498, 84.3
1 0 2, 3.794, 28.5
0 1 4, 2.778, 100.0
1 1 0, 2.597, 61.9
2 0 4, 1.897, 37.3
1 1 6, 1.744, 31.8
1 2 4, 1.532, 36.1
3 0 0, 1.499, 21.3
0 1 10, 1.348, 12.2
3 1 4, 1.176, 13.7

Cell lengths 5.1941, 5.1941, 14.1294 Å; angles 90.00, 90.00, 120.00 degrees
Space group P-3c1 (No. 165)
Inequivalent atoms, fractional coordinates:
Mg (0.3333, 0.6667, 0.1897)
Ta (0.0000, 0.0000, 0.1429)
Ni (0.3333, 0.6667, 0.4868)
O (0.0000, 0.2887, 0.2500)
O (0.0264, 0.3471, 0.5846)

=====

# Mg2TaNiO6
Theoretical XRD peak list, Cu Kα X-rays. Input: a PBE+U-relaxed structure.

Main lines, low angle first (15 to 90 degrees two-theta):
h k l, d [Å], intensity
0 0 1, 5.392, 49.7
1 0 0, 5.106, 44.8
1 0 -1, 3.781, 74.5
0 2 0, 3.756, 70.9
1 0 1, 3.638, 69.6
0 2 1, 3.082, 26.8
0 0 2, 2.696, 49.1
1 2 -1, 2.665, 100.0
1 2 1, 2.613, 92.0
2 0 0, 2.553, 36.8

Cell lengths 5.110, 7.513, 5.396 Å; angles 90.00, 92.22, 90.00 degrees
Space group P2_1/m (No. 11)
Inequivalent atoms, fractional coordinates:
Mg (0.013, 0.250, 0.427)
Mg (0.473, 0.250, 0.948)
Ta (0.500, 0.000, 0.500)
Ni (0.000, 0.000, 0.000)
O (0.135, 0.750, 0.935)
O (0.192, 0.070, 0.682)
O (0.314, 0.067, 0.186)
O (0.365, 0.750, 0.446)

=====

# Mg2Ta2NiO8
Theoretical XRD peak list, Cu Kα X-rays. Input: a PBE+U-relaxed structure.

Main lines, low angle first (15 to 90 degrees two-theta):
h k l, d [Å], intensity
1 1 0, 5.705, 23.1
4 0 0, 4.751, 48.4
3 1 0, 4.349, 29.0
1 1 1, 3.841, 68.4
3 1 -1, 3.335, 69.8
5 1 0, 3.208, 35.4
5 1 1, 2.729, 100.0
0 0 2, 2.594, 82.4
4 2 1, 2.274, 28.3
8 0 2, 1.752, 31.6

Cell lengths 19.003, 5.981, 5.196 Å; angles 90.00, 90.21, 90.00 degrees
Space group C2/c (No. 15)
Inequivalent atoms, fractional coordinates:
Mg (0.227, 0.144, 0.245)
Ta (0.115, 0.335, 0.743)
Ni (0.000, 0.143, 0.250)
O (0.058, 0.123, 0.586)
O (0.070, 0.385, 0.081)
O (0.186, 0.396, 0.456)
O (0.191, 0.147, 0.880)

=====

# Tb2MgNi2O6
Theoretical XRD peak list, Cu Kα X-rays. Input: a PBE+U-relaxed structure.

Main lines, low angle first (15 to 90 degrees two-theta):
h k l, d [Å], intensity
0 0 3, 5.311, 39.6
1 0 1, 4.621, 29.1
0 1 2, 4.130, 20.9
1 1 0, 2.788, 100.0
0 1 5, 2.660, 91.5
2 -1 3, 2.469, 42.1
2 0 5, 1.924, 65.2
3 0 0, 1.610, 31.4
1 2 5, 1.584, 38.0
4 -1 5, 1.235, 21.1

Cell lengths 5.5761, 5.5761, 15.9342 Å; angles 90.00, 90.00, 120.00 degrees
Space group R3 (No. 146, hexagonal axes)
Inequivalent atoms, fractional coordinates:
Tb (0.0000, 0.0000, 0.0000)
Tb (0.0000, 0.0000, 0.3725)
Mg (0.0000, 0.0000, 0.5672)
Ni (0.0000, 0.0000, 0.1926)
Ni (0.0000, 0.0000, 0.7722)
O (0.0010, 0.3076, 0.1139)
O (0.0168, 0.6470, 0.9448)

=====

# Tb2MgNi2O6
Theoretical XRD peak list, Cu Kα X-rays. Input: a PBE+U-relaxed structure.

Main lines, low angle first (15 to 90 degrees two-theta):
h k l, d [Å], intensity
1 -1 0, 4.321, 72.3
1 -1 1, 2.969, 100.0
0 1 1, 2.768, 42.8
0 2 -1, 2.731, 79.9
1 0 -2, 2.720, 58.5
1 1 0, 2.682, 42.2
-2 1 1, 2.552, 54.3
2 0 -1, 2.536, 42.8
-1 2 1, 2.166, 55.0
2 1 -2, 2.062, 43.0

Cell lengths 5.278, 5.689, 5.690 Å; angles 107.04, 114.31, 105.60 degrees
Space group P1 (No. 1)
Inequivalent atoms, fractional coordinates:
Tb (0.000, 0.000, 0.000)
Tb (0.462, 0.360, 0.761)
Mg (0.074, 0.740, 0.501)
Ni (0.397, 0.608, 0.257)
Ni (0.726, 0.175, 0.376)
O (0.043, 0.312, 0.826)
O (0.111, 0.392, 0.377)
O (0.352, 0.961, 0.382)
O (0.409, 0.044, 0.926)
O (0.733, 0.765, 0.175)
O (0.735, 0.597, 0.589)

=====

# MgNiTe4O12
Theoretical XRD peak list, Cu Kα X-rays. Input: a PBE+U-relaxed structure.

Main lines, low angle first (15 to 90 degrees two-theta):
h k l, d [Å], intensity
0 0 2, 3.947, 99.0
1 1 0, 3.907, 97.2
1 -1 0, 3.866, 100.0
1 1 2, 2.966, 34.0
-1 1 2, 2.914, 35.9
0 2 0, 2.878, 37.2
2 0 0, 2.633, 85.3
1 1 -2, 2.620, 42.7
-2 2 2, 1.810, 43.6
0 2 -4, 1.515, 31.4

Cell lengths 5.270, 5.838, 8.008 Å; angles 80.40, 89.09, 89.25 degrees
Space group P1 (No. 1)
Inequivalent atoms, fractional coordinates:
Mg (0.000, 0.000, 0.000)
Ni (0.494, 0.789, 0.148)
Te (0.510, 0.188, 0.356)
Te (0.511, 0.132, 0.816)
Te (0.980, 0.645, 0.327)
Te (0.981, 0.592, 0.787)
O (0.115, 0.632, 0.557)
O (0.164, 0.927, 0.238)
O (0.191, 0.293, 0.875)
O (0.302, 0.489, 0.267)
O (0.326, 0.853, 0.908)
O (0.376, 0.143, 0.587)
O (0.642, 0.123, 0.044)
O (0.664, 0.444, 0.743)
O (0.676, 0.809, 0.377)
O (0.814, 0.967, 0.769)
O (0.829, 0.332, 0.399)
O (0.849, 0.659, 0.100)

=====

# MgNiTe4O12
Theoretical XRD peak list, Cu Kα X-rays. Input: a PBE+U-relaxed structure.

Main lines, low angle first (15 to 90 degrees two-theta):
h k l, d [Å], intensity
1 -1 0, 3.911, 87.3
1 1 0, 3.870, 91.9
0 0 2, 3.849, 84.8
0 2 0, 2.879, 45.2
1 -1 2, 2.837, 100.0
-1 1 2, 2.657, 37.1
2 0 0, 2.636, 75.3
0 0 4, 1.924, 21.1
1 -1 4, 1.775, 34.7
3 1 -2, 1.559, 25.1

Cell lengths 5.278, 5.789, 7.739 Å; angles 95.93, 90.25, 90.58 degrees
Space group P1 (No. 1)
Inequivalent atoms, fractional coordinates:
Mg (0.000, 0.000, 0.000)
Ni (0.005, 0.028, 0.487)
Te (0.002, 0.408, 0.799)
Te (0.497, 0.897, 0.287)
Te (0.501, 0.880, 0.774)
Te (0.978, 0.448, 0.290)
O (0.120, 0.371, 0.041)
O (0.169, 0.074, 0.740)
O (0.182, 0.732, 0.372)
O (0.306, 0.564, 0.732)
O (0.317, 0.165, 0.377)
O (0.351, 0.890, 0.057)
O (0.655, 0.873, 0.523)
O (0.656, 0.591, 0.224)
O (0.733, 0.192, 0.870)
O (0.814, 0.044, 0.235)
O (0.842, 0.701, 0.870)
O (0.878, 0.360, 0.563)

=====

# Mg4Ni5Te3O18
Theoretical XRD peak list, Cu Kα X-rays. Input: a PBE+U-relaxed structure.

Main lines, low angle first (15 to 90 degrees two-theta):
h k l, d [Å], intensity
1 1 -2, 4.360, 28.5
3 1 0, 4.312, 100.0
2 0 2, 4.037, 27.0
4 0 -2, 3.150, 31.2
2 2 2, 2.988, 52.2
4 2 -2, 2.572, 45.6
1 3 -2, 2.549, 58.8
3 3 0, 2.540, 23.7
5 3 2, 1.893, 31.3
7 3 -2, 1.672, 52.2

Cell lengths 14.866, 8.888, 10.317 Å; angles 90.00, 95.60, 90.00 degrees
Space group C2/c (No. 15)
Inequivalent atoms, fractional coordinates:
Mg (0.019, 0.157, 0.038)
Mg (0.200, 0.359, 0.922)
Ni (0.000, 0.324, 0.750)
Ni (0.148, 0.340, 0.270)
Ni (0.167, 0.190, 0.550)
Te (0.000, 0.500, 0.000)
Te (0.161, 0.005, 0.799)
O (0.070, 0.335, 0.934)
O (0.072, 0.497, 0.666)
O (0.076, 0.336, 0.439)
O (0.084, 0.009, 0.443)
O (0.094, 0.164, 0.703)
O (0.096, 0.150, 0.198)
O (0.226, 0.169, 0.382)
O (0.241, 0.150, 0.894)
O (0.247, 0.025, 0.663)